# 1
Calculated powder diffractogram of CaNi5Sb3 for Cu Kα (weighted mean of Kα1 and Kα2), from the GGA-PBE geometry in Alexandria.
No peak broadening, texture or thermal motion is included.

Cell and atoms:
Cell lengths 4.014, 13.014, 12.232 Å; angles 90.00, 90.00, 90.00 degrees
Space group Cmcm (No. 63)
One atom of each set of equivalent atoms:
Ca (0.000, 0.192, 0.250) (multiplicity 4)
Ni (0.000, 0.000, 0.000) (multiplicity 4)
Ni (0.000, 0.186, 0.567) (multiplicity 8)
Ni (0.000, 0.454, 0.142) (multiplicity 8)
Sb (0.000, 0.099, 0.750) (multiplicity 4)
Sb (0.000, 0.374, 0.549) (multiplicity 8)

The 6 most intense peaks (10° ≤ 2θ ≤ 90°), low angle first:
2θ 14.48, d = 6.116 Å, intensity 79
2θ 27.43, d = 3.251 Å, intensity 77
2θ 32.04, d = 2.794 Å, intensity 77
2θ 43.90, d = 2.063 Å, intensity 89
2θ 44.03, d = 2.057 Å, intensity 100
2θ 45.18, d = 2.007 Å, intensity 93



# 2
Calculated powder diffractogram of Ca2ScNi for Cu Kα (weighted mean of Kα1 and Kα2), from the GGA-PBE geometry in Alexandria.
No peak broadening, texture or thermal motion is included.

Cell and atoms:
Cell lengths 3.421, 3.421, 9.089 Å; angles 90.00, 90.00, 90.00 degrees
Space group P4mm (No. 99)
One atom of each set of equivalent atoms:
Ca (0.000, 0.000, 0.000) (multiplicity 1)
Ca (0.500, 0.500, 0.355) (multiplicity 1)
Sc (0.500, 0.500, 0.700) (multiplicity 1)
Ni (0.000, 0.000, 0.572) (multiplicity 1)

The 6 most intense peaks (10° ≤ 2θ ≤ 90°), low angle first:
2θ 32.77, d = 2.733 Å, intensity 100
2θ 37.16, d = 2.419 Å, intensity 62
2θ 39.74, d = 2.268 Å, intensity 38
2θ 48.10, d = 1.892 Å, intensity 31
2θ 53.57, d = 1.711 Å, intensity 20
2θ 64.23, d = 1.450 Å, intensity 24



# 3
Calculated powder diffractogram of Ca3ScNi8 for Cu Kα (weighted mean of Kα1 and Kα2), from the GGA-PBE geometry in Alexandria.
No peak broadening, texture or thermal motion is included.

Cell and atoms:
Cell lengths 5.0392, 5.0392, 24.6252 Å; angles 90.00, 90.00, 120.00 degrees
Space group R3m (No. 160, hexagonal axes)
One atom of each set of equivalent atoms:
Ca (0.0000, 0.0000, 0.0000) (multiplicity 3)
Ca (0.0000, 0.0000, 0.1248) (multiplicity 3)
Ca (0.0000, 0.0000, 0.4991) (multiplicity 3)
Sc (0.0000, 0.0000, 0.6244) (multiplicity 3)
Ni (0.0000, 0.0000, 0.3115) (multiplicity 3)
Ni (0.0000, 0.0000, 0.8120) (multiplicity 3)
Ni (0.0032, 0.5016, 0.5646) (multiplicity 9)
Ni (0.1692, 0.3384, 0.3925) (multiplicity 9)

The 6 most intense peaks (10° ≤ 2θ ≤ 90°), low angle first:
2θ 21.62, d = 4.111 Å, intensity 25
2θ 35.66, d = 2.518 Å, intensity 16
2θ 42.09, d = 2.147 Å, intensity 100
2θ 44.03, d = 2.057 Å, intensity 41
2θ 44.13, d = 2.052 Å, intensity 13
2θ 68.46, d = 1.371 Å, intensity 26



# 4
Calculated powder diffractogram of CaNiSe for Cu Kα (weighted mean of Kα1 and Kα2), from the GGA-PBE geometry in Alexandria.
No peak broadening, texture or thermal motion is included.

Cell and atoms:
Cell lengths 4.0668, 4.0668, 4.0381 Å; angles 90.00, 90.00, 120.00 degrees
Space group P-6m2 (No. 187)
One atom of each set of equivalent atoms:
Ca (0.0000, 0.0000, 0.0000) (multiplicity 1)
Ni (0.3333, 0.6667, 0.5000) (multiplicity 1)
Se (0.6667, 0.3333, 0.5000) (multiplicity 1)

The 6 most intense peaks (10° ≤ 2θ ≤ 90°), low angle first:
2θ 22.01, d = 4.038 Å, intensity 39
2θ 33.77, d = 2.654 Å, intensity 100
2θ 44.56, d = 2.033 Å, intensity 59
2θ 50.24, d = 1.816 Å, intensity 25
2θ 57.06, d = 1.614 Å, intensity 20
2θ 65.11, d = 1.433 Å, intensity 36



# 5
Calculated powder diffractogram of CaNi2Se2 for Cu Kα (weighted mean of Kα1 and Kα2), from the GGA-PBE geometry in Alexandria.
No peak broadening, texture or thermal motion is included.

Cell and atoms:
Cell lengths 3.880, 3.880, 11.868 Å; angles 90.00, 90.00, 90.00 degrees
Space group I4/mmm (No. 139)
One atom of each set of equivalent atoms:
Ca (0.000, 0.000, 0.000) (multiplicity 2)
Ni (0.000, 0.500, 0.250) (multiplicity 4)
Se (0.000, 0.000, 0.368) (multiplicity 4)

The 6 most intense peaks (10° ≤ 2θ ≤ 90°), low angle first:
2θ 14.93, d = 5.934 Å, intensity 59
2θ 32.32, d = 2.770 Å, intensity 100
2θ 36.06, d = 2.490 Å, intensity 65
2θ 45.00, d = 2.014 Å, intensity 82
2θ 46.82, d = 1.940 Å, intensity 66
2θ 58.04, d = 1.589 Å, intensity 35



# 6
Calculated powder diffractogram of CaNi2Se for Cu Kα (weighted mean of Kα1 and Kα2), from the GGA-PBE geometry in Alexandria.
No peak broadening, texture or thermal motion is included.

Cell and atoms:
Cell lengths 7.718, 3.795, 5.332 Å; angles 90.00, 112.57, 90.00 degrees
Space group Cm (No. 8)
One atom of each set of equivalent atoms:
Ca (0.000, 0.000, 0.000) (multiplicity 2)
Ni (0.280, 0.500, 0.387) (multiplicity 2)
Ni (0.480, 0.000, 0.448) (multiplicity 2)
Se (0.207, 0.000, 0.600) (multiplicity 2)

The 6 most intense peaks (10° ≤ 2θ ≤ 90°), low angle first:
2θ 18.02, d = 4.924 Å, intensity 100
2θ 35.01, d = 2.563 Å, intensity 59
2θ 35.48, d = 2.530 Å, intensity 20
2θ 41.41, d = 2.180 Å, intensity 23
2θ 42.62, d = 2.121 Å, intensity 74
2θ 47.94, d = 1.898 Å, intensity 26